Computed powder diffractogram of PmNd15Dy4 for copper Kα, from the PBE geometry in Alexandria.

Most intense lines, 10° ≤ 2θ ≤ 80°, sorted by position:
(1 1 5), 2θ 30.0, d = 2.982 Å, I 100; (2 0 0), 2θ 34.7, d = 2.586 Å, I 34; (0 0 10), 2θ 34.8, d = 2.575 Å, I 17; (2 2 0), 2θ 49.9, d = 1.828 Å, I 12; (2 0 10), 2θ 50.0, d = 1.825 Å, I 24; (3 1 5), 2θ 59.3, d = 1.559 Å, I 29; (1 1 15), 2θ 59.5, d = 1.554 Å, I 14; (2 2 10), 2θ 62.3, d = 1.491 Å, I 12; (4 0 0), 2θ 73.2, d = 1.293 Å, I 4; (0 0 20), 2θ 73.6, d = 1.288 Å, I 2

```
PmNd15Dy4
1.0
5.171 0.000 0.000
0.000 5.171 0.000
0.000 0.000 25.753
Pm Nd Dy
1 15 4
Cartesian
0.000 0.000 0.000
0.000 2.586 2.606
0.000 2.586 7.742
0.000 2.586 12.877
0.000 2.586 18.011
0.000 2.586 23.147
2.586 0.000 2.606
2.586 0.000 7.742
2.586 0.000 12.877
2.586 0.000 18.011
2.586 0.000 23.147
2.586 2.586 0.000
2.586 2.586 5.183
2.586 2.586 10.308
2.586 2.586 15.445
2.586 2.586 20.570
0.000 0.000 5.176
0.000 0.000 10.310
0.000 0.000 15.443
0.000 0.000 20.577
```